1.
# Tl3ZnHg12
Theoretical powder diffraction line list, copper Kα. Input: DFT lattice parameters and positions (GGA-PBE).
Kinematic intensities with the Lorentz-polarization factor, no thermal factor.

Main lines, by angle (2θ from 10° to 90°):
- 2θ = 32.34°, I = 100
- 2θ = 32.93°, I = 95
- 2θ = 33.19°, I = 40
- 2θ = 40.02°, I = 59
- 2θ = 52.94°, I = 22
- 2θ = 57.88°, I = 21
- 2θ = 58.38°, I = 13
- 2θ = 59.50°, I = 12
- 2θ = 67.53°, I = 13
- 2θ = 67.88°, I = 12

Crystal structure
Cell lengths 4.508, 4.506, 21.605 Å; angles 90.00, 91.64, 90.00 degrees
Sites, in units of the cell vectors:
Tl1 0.000 0.000 0.000
Tl2 0.001 0.000 0.264
Tl3 0.999 0.000 0.736
Zn1 0.000 0.000 0.500
Hg1 0.002 0.500 0.612
Hg2 0.002 0.500 0.871
Hg3 0.498 0.000 0.612
Hg4 0.499 0.000 0.129
Hg5 0.499 0.500 0.253
Hg6 0.500 0.500 0.000
Hg7 0.500 0.500 0.500
Hg8 0.501 0.000 0.871
Hg9 0.501 0.500 0.747
Hg10 0.502 0.000 0.388
Hg11 0.998 0.500 0.129
Hg12 0.998 0.500 0.388

***

2.
# Dy2ThSi
Theoretical powder diffraction line list, copper Kα. Input: DFT lattice parameters and positions (GGA-PBE).
Kinematic intensities with the Lorentz-polarization factor, no thermal factor.

Main lines, by angle (2θ from 10° to 90°):
- 2θ = 24.58°, I = 65
- 2θ = 29.59°, I = 100
- 2θ = 29.98°, I = 53
- 2θ = 36.96°, I = 51
- 2θ = 40.64°, I = 66
- 2θ = 42.67°, I = 26
- 2θ = 52.26°, I = 34
- 2θ = 58.58°, I = 37
- 2θ = 62.18°, I = 17
- 2θ = 75.55°, I = 18

Crystal structure
Cell lengths 3.501, 3.501, 32.592 Å; angles 90.00, 90.00, 120.00 degrees
Sites, in units of the cell vectors:
Dy1 0.000 0.000 0.105
Dy2 0.000 0.000 0.895
Dy3 0.333 0.667 0.561
Dy4 0.333 0.667 0.772
Dy5 0.667 0.333 0.228
Dy6 0.667 0.333 0.439
Th1 0.000 0.000 0.000
Th2 0.333 0.667 0.667
Th3 0.667 0.333 0.333
Si1 0.000 0.000 0.500
Si2 0.333 0.667 0.167
Si3 0.667 0.333 0.833

***

3.
# K2U3Se8
Theoretical powder diffraction line list, copper Kα. Input: DFT lattice parameters and positions (GGA-PBE).
Kinematic intensities with the Lorentz-polarization factor, no thermal factor.

Main lines, by angle (2θ from 10° to 90°):
- 2θ = 10.81°, I = 100
- 2θ = 21.38°, I = 17
- 2θ = 27.95°, I = 10
- 2θ = 31.08°, I = 10
- 2θ = 33.89°, I = 68
- 2θ = 35.33°, I = 14
- 2θ = 37.94°, I = 16
- 2θ = 39.57°, I = 10
- 2θ = 42.16°, I = 28
- 2θ = 65.96°, I = 10

Crystal structure
Cell lengths 9.631, 9.631, 4.743 Å; angles 90.00, 90.00, 116.32 degrees
Sites, in units of the cell vectors:
K1 0.241 0.759 0.000
K2 0.759 0.241 0.000
U1 0.212 0.212 0.500
U2 0.500 0.500 0.000
U3 0.788 0.788 0.500
Se1 0.105 0.895 0.500
Se2 0.164 0.363 0.000
Se3 0.363 0.164 0.000
Se4 0.402 0.598 0.500
Se5 0.598 0.402 0.500
Se6 0.637 0.836 0.000
Se7 0.836 0.637 0.000
Se8 0.895 0.105 0.500